No. 1
Starting from the PBE geometry in Alexandria, the powder X-ray diffraction pattern of RbNaHgTe2 was calculated for Cu Kα, 1.54184 Å.
Intensities are scaled so that the largest is 100.

Principal peaks in the range 10° ≤ 2θ ≤ 90°, in order of falling intensity:
2θ (°), I (rel.)
24.48, 100
25.29, 86
12.72, 52
34.08, 47
27.94, 46
33.23, 43
11.01, 40
16.85, 40
42.91, 39
36.29, 39

Atomic structure:
```
data_RbNaHgTe2
_cell_length_a 8.7740
_cell_length_b 8.7740
_cell_length_c 6.9597
_cell_angle_alpha 90.00
_cell_angle_beta 90.00
_cell_angle_gamma 132.66
_space_group_name_H-M_alt 'P 1'
_space_group_IT_number 1
loop_
_space_group_symop_operation_xyz
'x,y,z'
loop_
_atom_site_label
_atom_site_type_symbol
_atom_site_fract_x
_atom_site_fract_y
_atom_site_fract_z
Rb1 Rb 0.2500 0.7500 0.7842
Rb2 Rb 0.7500 0.2500 0.2158
Na1 Na 0.2500 0.2500 0.5000
Na2 Na 0.7500 0.7500 0.5000
Hg1 Hg 0.0000 0.0000 0.0000
Hg2 Hg 0.5000 0.5000 0.0000
Te1 Te 0.1241 0.8759 0.2553
Te2 Te 0.3759 0.6241 0.2553
Te3 Te 0.6241 0.3759 0.7447
Te4 Te 0.8759 0.1241 0.7447
```


No. 2
Starting from the PBE geometry in Alexandria, the powder X-ray diffraction pattern of La8Si3HI3 was calculated for Cu Kα, 1.54184 Å.
Intensities are scaled so that the largest is 100.

Principal peaks in the range 10° ≤ 2θ ≤ 90°, in order of falling intensity:
2θ (°), I (rel.)
28.40, 100
41.52, 38
39.67, 32
24.89, 23
51.07, 19
30.79, 19
67.84, 16
55.71, 14
58.77, 10
74.50, 10

Atomic structure:
```
data_La8Si3HI3
_cell_length_a 8.7030
_cell_length_b 8.7030
_cell_length_c 9.1117
_cell_angle_alpha 118.58
_cell_angle_beta 118.58
_cell_angle_gamma 59.95
_space_group_name_H-M_alt 'P 1'
_space_group_IT_number 1
loop_
_space_group_symop_operation_xyz
'x,y,z'
loop_
_atom_site_label
_atom_site_type_symbol
_atom_site_fract_x
_atom_site_fract_y
_atom_site_fract_z
La1 La 0.2256 0.7433 0.7122
La2 La 0.2361 0.2361 0.7083
La3 La 0.2570 0.2570 0.2882
La4 La 0.2567 0.7744 0.2878
La5 La 0.7433 0.2256 0.7122
La6 La 0.7430 0.7430 0.7118
La7 La 0.7639 0.7639 0.2917
La8 La 0.7744 0.2567 0.2878
Si1 Si 0.0000 0.0000 0.5000
Si2 Si 0.0000 0.5000 0.5000
Si3 Si 0.5000 0.0000 0.5000
H1 H 0.5000 0.5000 0.5000
I1 I 0.0000 0.5000 0.0000
I2 I 0.5000 0.0000 0.0000
I3 I 0.5000 0.5000 0.0000
```